(1)
Simulated X-ray powder pattern
Compound: PuThCo10
Radiation: a wavelength of 1.5418 Å
Structure: the PBE geometry in Alexandria
Intensities are scaled so that the largest is 100.

Cell and atoms:
Unit cell a=4.003 b=4.882 c=8.524 alpha=90.00 beta=90.00 gamma=90.00
Fractional coordinates of all 12 atoms:
Pu 0.000 0.000 0.000
Th 0.000 0.500 0.500
Co 0.000 0.000 0.315
Co 0.000 0.000 0.685
Co 0.000 0.500 0.162
Co 0.000 0.500 0.838
Co 0.500 0.000 0.500
Co 0.500 0.249 0.249
Co 0.500 0.249 0.751
Co 0.500 0.500 0.000
Co 0.500 0.751 0.249
Co 0.500 0.751 0.751

Most intense lines, 2θ = 10–80°, in order of rising 2θ:
two_theta  d [Å]  I (rel.)
22.21  4.003  19
30.70  2.912  100
36.59  2.456  33
42.42  2.131  19
42.69  2.118  31
43.22  2.093  85
43.42  2.084  43
45.30  2.002  32
64.00  1.455  18
70.74  1.332  19

(2)
Simulated X-ray powder pattern
Compound: SbPd4O
Radiation: a wavelength of 1.5418 Å
Structure: the PBE geometry in Alexandria
Intensities are scaled so that the largest is 100.

Cell and atoms:
Unit cell a=6.578 b=6.578 c=6.578 alpha=110.48 beta=110.48 gamma=107.48
Fractional coordinates of all 12 atoms:
Sb 0.000 0.000 0.000
Sb 0.750 0.250 0.500
Pd 0.015 0.760 0.255
Pd 0.049 0.374 0.325
Pd 0.049 0.725 0.675
Pd 0.124 0.299 0.825
Pd 0.475 0.299 0.175
Pd 0.506 0.760 0.745
Pd 0.510 0.265 0.755
Pd 0.510 0.756 0.245
O 0.387 0.887 0.500
O 0.637 0.637 0.000

Most intense lines, 2θ = 10–80°, in order of rising 2θ:
two_theta  d [Å]  I (rel.)
23.72  3.750  28
28.99  3.080  14
33.18  2.700  100
33.80  2.652  14
44.14  2.052  20
44.75  2.025  17
45.11  2.010  30
46.69  1.945  14
48.55  1.875  22
60.07  1.540  15

(3)
Simulated X-ray powder pattern
Compound: Tb3Dy6Mg
Radiation: a wavelength of 1.5418 Å
Structure: the PBE geometry in Alexandria
Intensities are scaled so that the largest is 100.

Cell and atoms:
Unit cell a=11.093 b=5.002 c=11.154 alpha=90.00 beta=90.30 gamma=90.00
Fractional coordinates of all 20 atoms:
Tb 0.051 0.250 0.400
Tb 0.151 0.750 0.204
Tb 0.252 0.250 0.003
Tb 0.748 0.750 0.997
Tb 0.849 0.250 0.796
Tb 0.949 0.750 0.600
Dy 0.052 0.750 0.898
Dy 0.153 0.250 0.700
Dy 0.254 0.750 0.501
Dy 0.350 0.750 0.803
Dy 0.352 0.250 0.305
Dy 0.452 0.750 0.101
Dy 0.548 0.250 0.899
Dy 0.648 0.750 0.695
Dy 0.650 0.250 0.197
Dy 0.746 0.250 0.499
Dy 0.847 0.750 0.300
Dy 0.948 0.250 0.102
Mg 0.452 0.250 0.599
Mg 0.548 0.750 0.401

Most intense lines, 2θ = 10–80°, in order of rising 2θ:
two_theta  d [Å]  I (rel.)
31.08  2.877  100
35.94  2.499  34
36.25  2.478  16
51.74  1.767  12
51.94  1.760  12
52.00  1.759  12
61.55  1.507  14
61.64  1.505  14
62.01  1.497  14
64.80  1.439  12

(4)
Simulated X-ray powder pattern
Compound: TeO2
Radiation: a wavelength of 1.5418 Å
Structure: the PBE geometry in Alexandria
Intensities are scaled so that the largest is 100.

Cell and atoms:
Unit cell a=4.527 b=4.527 c=5.362 alpha=98.74 beta=98.74 gamma=76.40
Fractional coordinates of all 6 atoms:
Te 0.154 0.846 0.750
Te 0.846 0.154 0.250
O 0.090 0.235 0.615
O 0.235 0.090 0.115
O 0.765 0.910 0.885
O 0.910 0.765 0.385

Most intense lines, 2θ = 10–80°, in order of rising 2θ:
two_theta  d [Å]  I (rel.)
20.33  4.367  100
24.87  3.580  91
25.52  3.490  43
28.09  3.177  44
34.09  2.630  25
36.35  2.471  29
42.20  2.142  16
42.51  2.126  24
42.88  2.109  36
63.95  1.456  17

(5)
Simulated X-ray powder pattern
Compound: ZrSc6Al
Radiation: a wavelength of 1.5418 Å
Structure: the PBE geometry in Alexandria
Intensities are scaled so that the largest is 100.

Cell and atoms:
Unit cell a=6.290 b=6.290 c=4.746 alpha=90.00 beta=90.00 gamma=101.77
Fractional coordinates of all 8 atoms:
Zr 0.000 0.000 0.000
Sc 0.000 0.500 0.000
Sc 0.222 0.778 0.500
Sc 0.278 0.278 0.500
Sc 0.500 0.000 0.000
Sc 0.722 0.722 0.500
Sc 0.778 0.222 0.500
Al 0.500 0.500 0.000

Most intense lines, 2θ = 10–80°, in order of rising 2θ:
two_theta  d [Å]  I (rel.)
14.38  6.158  13
34.73  2.583  100
35.31  2.542  11
36.83  2.440  20
37.92  2.373  20
45.72  1.984  10
53.89  1.701  12
60.85  1.522  8
65.00  1.435  11
66.44  1.407  13

(6)
Simulated X-ray powder pattern
Compound: Nd3Dy2Tl4
Radiation: a wavelength of 1.5418 Å
Structure: the PBE geometry in Alexandria
Intensities are scaled so that the largest is 100.

Cell and atoms:
Unit cell a=5.395 b=5.395 c=10.554 alpha=90.00 beta=90.00 gamma=120.00
Fractional coordinates of all 9 atoms:
Nd 0.000 0.000 0.000
Nd 0.333 0.667 0.579
Nd 0.667 0.333 0.421
Dy 0.333 0.667 0.221
Dy 0.667 0.333 0.779
Tl 0.000 0.000 0.343
Tl 0.000 0.000 0.657
Tl 0.333 0.667 0.898
Tl 0.667 0.333 0.102

Most intense lines, 2θ = 10–80°, in order of rising 2θ:
two_theta  d [Å]  I (rel.)
31.84  2.810  100
33.21  2.697  94
46.67  1.946  35
55.85  1.646  19
58.48  1.578  36
59.34  1.557  18
66.55  1.405  11
69.72  1.349  11
76.43  1.246  15
78.69  1.216  15

(7)
Simulated X-ray powder pattern
Compound: LiYMg6
Radiation: a wavelength of 1.5418 Å
Structure: the PBE geometry in Alexandria
Intensities are scaled so that the largest is 100.

Cell and atoms:
Unit cell a=5.127 b=6.706 c=6.706 alpha=56.57 beta=90.00 gamma=90.00
Fractional coordinates of all 8 atoms:
Li 0.000 0.000 0.000
Y 0.000 0.525 0.525
Mg 0.000 0.022 0.522
Mg 0.000 0.522 0.022
Mg 0.500 0.159 0.159
Mg 0.500 0.171 0.671
Mg 0.500 0.671 0.171
Mg 0.500 0.686 0.686

Most intense lines, 2θ = 10–80°, in order of rising 2θ:
two_theta  d [Å]  I (rel.)
15.84  5.596  56
23.53  3.780  52
26.63  3.347  16
31.96  2.800  60
35.05  2.560  100
36.58  2.456  83
48.14  1.890  21
54.84  1.674  23
66.76  1.401  17
69.65  1.350  25

(8)
Simulated X-ray powder pattern
Compound: K3CoRh2S6
Radiation: a wavelength of 1.5418 Å
Structure: the PBE geometry in Alexandria
Intensities are scaled so that the largest is 100.

Cell and atoms:
Unit cell a=6.344 b=6.344 c=7.124 alpha=98.54 beta=98.54 gamma=119.99
Fractional coordinates of all 12 atoms:
K 0.000 0.000 0.000
K 0.330 0.670 0.000
K 0.670 0.330 0.000
Co 0.500 0.500 0.500
Rh 0.167 0.833 0.500
Rh 0.833 0.167 0.500
S 0.122 0.445 0.336
S 0.232 0.232 0.665
S 0.445 0.122 0.336
S 0.555 0.878 0.664
S 0.768 0.768 0.335
S 0.878 0.555 0.664

Most intense lines, 2θ = 10–80°, in order of rising 2θ:
two_theta  d [Å]  I (rel.)
13.02  6.802  73
26.20  3.401  19
29.49  3.029  20
33.26  2.694  100
42.10  2.146  20
45.64  1.988  24
49.79  1.831  35
53.38  1.716  16
57.12  1.613  12
61.19  1.515  15